Entry 1:
For ZrBeCr4, a cell relaxed with PBE gives the calculated X-ray powder pattern in this record (Cu Kα).
Peak positions follow from Bragg's law for the DFT cell and can differ from measured ones.

Principal peaks in the range 2θ from 10° to 80°, in order of rising 2θ:
| Position (°2θ) | I_rel |
| --- | --- |
| 22.43 | 28 |
| 25.96 | 25 |
| 37.04 | 23 |
| 43.73 | 100 |
| 45.79 | 44 |
| 66.76 | 8 |
| 71.40 | 28 |
| 78.88 | 21 |

Crystal structure
```
data_ZrBeCr4
_chemical_formula_sum 'Zr1 Be1 Cr4'
_space_group_name_H-M_alt 'P 1'
_space_group_IT_number 1
_cell_length_a 4.854
_cell_length_b 4.854
_cell_length_c 4.854
_cell_angle_alpha 60.00
_cell_angle_beta 60.00
_cell_angle_gamma 60.00
loop_
_space_group_symop_operation_xyz
'x,y,z'
loop_
_atom_site_label
_atom_site_type_symbol
_atom_site_fract_x
_atom_site_fract_y
_atom_site_fract_z
Zr1 Zr 0.000 0.000 0.000
Be1 Be 0.750 0.750 0.750
Cr1 Cr 0.377 0.377 0.377
Cr2 Cr 0.377 0.377 0.870
Cr3 Cr 0.377 0.870 0.377
Cr4 Cr 0.870 0.377 0.377
```

Entry 2:
For Zn2GaCuSe4, a cell relaxed with PBE gives the calculated X-ray powder pattern in this record (Cu Kα).
Peak positions follow from Bragg's law for the DFT cell and can differ from measured ones.

Principal peaks in the range 2θ from 10° to 80°, in order of rising 2θ:
| Position (°2θ) | I_rel |
| --- | --- |
| 26.93 | 100 |
| 40.92 | 1 |
| 44.70 | 72 |
| 46.72 | 2 |
| 52.96 | 42 |
| 65.07 | 11 |
| 71.72 | 13 |
| 71.83 | 3 |

Crystal structure
```
data_Zn2GaCuSe4
_chemical_formula_sum 'Zn2 Ga1 Cu1 Se4'
_space_group_name_H-M_alt 'P 1'
_space_group_IT_number 1
_cell_length_a 13.432
_cell_length_b 13.432
_cell_length_c 13.432
_cell_angle_alpha 17.37
_cell_angle_beta 17.37
_cell_angle_gamma 17.37
loop_
_space_group_symop_operation_xyz
'x,y,z'
loop_
_atom_site_label
_atom_site_type_symbol
_atom_site_fract_x
_atom_site_fract_y
_atom_site_fract_z
Zn1 Zn 0.000 0.000 0.000
Zn2 Zn 0.249 0.249 0.249
Ga1 Ga 0.497 0.497 0.497
Cu1 Cu 0.740 0.740 0.740
Se1 Se 0.061 0.061 0.061
Se2 Se 0.310 0.310 0.310
Se3 Se 0.560 0.560 0.560
Se4 Se 0.805 0.805 0.805
```

Entry 3:
For CsNa3Pb2, a cell relaxed with PBE gives the calculated X-ray powder pattern in this record (Cu Kα).
Peak positions follow from Bragg's law for the DFT cell and can differ from measured ones.

Principal peaks in the range 2θ from 10° to 80°, in order of rising 2θ:
| Position (°2θ) | I_rel |
| --- | --- |
| 13.99 | 72 |
| 16.39 | 81 |
| 21.62 | 100 |
| 29.27 | 91 |
| 30.53 | 75 |
| 33.72 | 84 |
| 36.12 | 53 |
| 41.99 | 67 |

Crystal structure
```
data_CsNa3Pb2
_chemical_formula_sum 'Cs2 Na6 Pb4'
_space_group_name_H-M_alt 'P 1'
_space_group_IT_number 1
_cell_length_a 8.325
_cell_length_b 8.325
_cell_length_c 6.967
_cell_angle_alpha 90.00
_cell_angle_beta 90.00
_cell_angle_gamma 81.02
loop_
_space_group_symop_operation_xyz
'x,y,z'
loop_
_atom_site_label
_atom_site_type_symbol
_atom_site_fract_x
_atom_site_fract_y
_atom_site_fract_z
Cs1 Cs 0.152 0.848 0.750
Cs2 Cs 0.848 0.152 0.250
Na1 Na 0.039 0.559 0.250
Na2 Na 0.441 0.961 0.250
Na3 Na 0.483 0.517 0.250
Na4 Na 0.517 0.483 0.750
Na5 Na 0.559 0.039 0.750
Na6 Na 0.961 0.441 0.750
Pb1 Pb 0.277 0.277 0.000
Pb2 Pb 0.277 0.277 0.500
Pb3 Pb 0.723 0.723 0.000
Pb4 Pb 0.723 0.723 0.500
```

Entry 4:
For PrDy3Tl4, a cell relaxed with PBE gives the calculated X-ray powder pattern in this record (Cu Kα).
Peak positions follow from Bragg's law for the DFT cell and can differ from measured ones.

Principal peaks in the range 2θ from 10° to 80°, in order of rising 2θ:
| Position (°2θ) | I_rel |
| --- | --- |
| 32.96 | 51 |
| 33.14 | 100 |
| 47.31 | 19 |
| 47.83 | 9 |
| 58.97 | 39 |
| 59.31 | 19 |
| 69.55 | 12 |
| 78.74 | 9 |

Crystal structure
```
data_PrDy3Tl4
_chemical_formula_sum 'Pr2 Dy6 Tl8'
_space_group_name_H-M_alt 'P 1'
_space_group_IT_number 1
_cell_length_a 10.871
_cell_length_b 7.607
_cell_length_c 5.435
_cell_angle_alpha 90.00
_cell_angle_beta 90.00
_cell_angle_gamma 90.00
loop_
_space_group_symop_operation_xyz
'x,y,z'
loop_
_atom_site_label
_atom_site_type_symbol
_atom_site_fract_x
_atom_site_fract_y
_atom_site_fract_z
Pr1 Pr 0.000 0.000 0.000
Pr2 Pr 0.500 0.000 0.000
Dy1 Dy 0.000 0.500 0.000
Dy2 Dy 0.250 0.000 0.499
Dy3 Dy 0.250 0.500 0.498
Dy4 Dy 0.500 0.500 0.000
Dy5 Dy 0.750 0.000 0.501
Dy6 Dy 0.750 0.500 0.502
Tl1 Tl 0.000 0.258 0.500
Tl2 Tl 0.000 0.742 0.500
Tl3 Tl 0.250 0.257 0.998
Tl4 Tl 0.250 0.743 0.998
Tl5 Tl 0.500 0.258 0.500
Tl6 Tl 0.500 0.742 0.500
Tl7 Tl 0.750 0.257 0.002
Tl8 Tl 0.750 0.743 0.002
```

Entry 5:
For CsCd4Au, a cell relaxed with PBE gives the calculated X-ray powder pattern in this record (Cu Kα).
Peak positions follow from Bragg's law for the DFT cell and can differ from measured ones.

Principal peaks in the range 2θ from 10° to 80°, in order of rising 2θ:
| Position (°2θ) | I_rel |
| --- | --- |
| 29.30 | 100 |
| 30.38 | 49 |
| 30.91 | 34 |
| 32.39 | 63 |
| 36.56 | 42 |
| 37.41 | 49 |
| 38.68 | 53 |
| 53.32 | 42 |

Crystal structure
```
data_CsCd4Au
_chemical_formula_sum 'Cs2 Cd8 Au2'
_space_group_name_H-M_alt 'P 1'
_space_group_IT_number 1
_cell_length_a 9.605
_cell_length_b 9.605
_cell_length_c 8.065
_cell_angle_alpha 90.00
_cell_angle_beta 90.00
_cell_angle_gamma 151.01
loop_
_space_group_symop_operation_xyz
'x,y,z'
loop_
_atom_site_label
_atom_site_type_symbol
_atom_site_fract_x
_atom_site_fract_y
_atom_site_fract_z
Cs1 Cs 0.118 0.882 0.750
Cs2 Cs 0.882 0.118 0.250
Cd1 Cd 0.077 0.923 0.250
Cd2 Cd 0.308 0.692 0.562
Cd3 Cd 0.308 0.692 0.938
Cd4 Cd 0.500 0.500 0.000
Cd5 Cd 0.500 0.500 0.500
Cd6 Cd 0.692 0.308 0.062
Cd7 Cd 0.692 0.308 0.438
Cd8 Cd 0.923 0.077 0.750
Au1 Au 0.230 0.770 0.250
Au2 Au 0.770 0.230 0.750
```

Entry 6:
For Tb7Dy16Er6, a cell relaxed with PBE gives the calculated X-ray powder pattern in this record (Cu Kα).
Peak positions follow from Bragg's law for the DFT cell and can differ from measured ones.

Principal peaks in the range 2θ from 10° to 80°, in order of rising 2θ:
| Position (°2θ) | I_rel |
| --- | --- |
| 27.96 | 7 |
| 29.70 | 14 |
| 32.40 | 100 |
| 44.52 | 8 |
| 46.48 | 14 |
| 57.79 | 25 |
| 61.35 | 8 |
| 67.84 | 7 |

Crystal structure
```
data_Tb7Dy16Er6
_chemical_formula_sum 'Tb7 Dy16 Er6'
_space_group_name_H-M_alt 'P 1'
_space_group_IT_number 1
_cell_length_a 11.053
_cell_length_b 11.053
_cell_length_c 11.053
_cell_angle_alpha 60.00
_cell_angle_beta 60.00
_cell_angle_gamma 60.00
loop_
_space_group_symop_operation_xyz
'x,y,z'
loop_
_atom_site_label
_atom_site_type_symbol
_atom_site_fract_x
_atom_site_fract_y
_atom_site_fract_z
Tb1 Tb 0.000 0.000 0.000
Tb2 Tb 0.000 0.000 0.500
Tb3 Tb 0.000 0.500 0.000
Tb4 Tb 0.000 0.500 0.500
Tb5 Tb 0.500 0.000 0.000
Tb6 Tb 0.500 0.000 0.500
Tb7 Tb 0.500 0.500 0.000
Dy1 Dy 0.047 0.651 0.651
Dy2 Dy 0.124 0.124 0.124
Dy3 Dy 0.124 0.124 0.628
Dy4 Dy 0.124 0.628 0.124
Dy5 Dy 0.349 0.349 0.349
Dy6 Dy 0.349 0.349 0.953
Dy7 Dy 0.349 0.953 0.349
Dy8 Dy 0.372 0.876 0.876
Dy9 Dy 0.628 0.124 0.124
Dy10 Dy 0.651 0.047 0.651
Dy11 Dy 0.651 0.651 0.047
Dy12 Dy 0.651 0.651 0.651
Dy13 Dy 0.876 0.372 0.876
Dy14 Dy 0.876 0.876 0.372
Dy15 Dy 0.876 0.876 0.876
Dy16 Dy 0.953 0.349 0.349
Er1 Er 0.272 0.272 0.728
Er2 Er 0.272 0.728 0.272
Er3 Er 0.272 0.728 0.728
Er4 Er 0.728 0.272 0.272
Er5 Er 0.728 0.272 0.728
Er6 Er 0.728 0.728 0.272
```

Entry 7:
For Pm2CdIO8, a cell relaxed with PBE gives the calculated X-ray powder pattern in this record (Cu Kα).
Peak positions follow from Bragg's law for the DFT cell and can differ from measured ones.

Principal peaks in the range 2θ from 10° to 80°, in order of rising 2θ:
| Position (°2θ) | I_rel |
| --- | --- |
| 24.86 | 100 |
| 26.31 | 68 |
| 30.00 | 92 |
| 30.60 | 90 |
| 36.43 | 19 |
| 36.59 | 21 |
| 47.51 | 35 |
| 49.50 | 26 |

Crystal structure
```
data_Pm2CdIO8
_chemical_formula_sum 'Pm2 Cd1 I1 O8'
_space_group_name_H-M_alt 'P 1'
_space_group_IT_number 1
_cell_length_a 4.920
_cell_length_b 4.942
_cell_length_c 7.372
_cell_angle_alpha 91.16
_cell_angle_beta 91.05
_cell_angle_gamma 93.17
loop_
_space_group_symop_operation_xyz
'x,y,z'
loop_
_atom_site_label
_atom_site_type_symbol
_atom_site_fract_x
_atom_site_fract_y
_atom_site_fract_z
Pm1 Pm 0.043 0.041 0.248
Pm2 Pm 0.957 0.959 0.752
Cd1 Cd 0.500 0.500 0.000
I1 I 0.500 0.500 0.500
O1 O 0.195 0.196 0.979
O2 O 0.222 0.228 0.535
O3 O 0.282 0.640 0.311
O4 O 0.361 0.723 0.687
O5 O 0.639 0.277 0.313
O6 O 0.718 0.360 0.689
O7 O 0.778 0.772 0.465
O8 O 0.805 0.804 0.021
```

Entry 8:
For LaBePt3, a cell relaxed with PBE gives the calculated X-ray powder pattern in this record (Cu Kα).
Peak positions follow from Bragg's law for the DFT cell and can differ from measured ones.

Principal peaks in the range 2θ from 10° to 80°, in order of rising 2θ:
| Position (°2θ) | I_rel |
| --- | --- |
| 25.70 | 34 |
| 31.99 | 67 |
| 37.99 | 100 |
| 42.09 | 33 |
| 46.44 | 44 |
| 57.98 | 25 |
| 66.89 | 38 |
| 68.64 | 18 |

Crystal structure
```
data_LaBePt3
_chemical_formula_sum 'La2 Be2 Pt6'
_space_group_name_H-M_alt 'P 1'
_space_group_IT_number 1
_cell_length_a 5.469
_cell_length_b 5.469
_cell_length_c 6.933
_cell_angle_alpha 90.00
_cell_angle_beta 90.00
_cell_angle_gamma 120.00
loop_
_space_group_symop_operation_xyz
'x,y,z'
loop_
_atom_site_label
_atom_site_type_symbol
_atom_site_fract_x
_atom_site_fract_y
_atom_site_fract_z
La1 La 0.000 0.000 0.000
La2 La 0.000 0.000 0.500
Be1 Be 0.333 0.667 0.000
Be2 Be 0.667 0.333 0.000
Pt1 Pt 0.000 0.500 0.253
Pt2 Pt 0.000 0.500 0.747
Pt3 Pt 0.500 0.000 0.253
Pt4 Pt 0.500 0.000 0.747
Pt5 Pt 0.500 0.500 0.253
Pt6 Pt 0.500 0.500 0.747
```

Entry 9:
For SrNdPtAu, a cell relaxed with PBE gives the calculated X-ray powder pattern in this record (Cu Kα).
Peak positions follow from Bragg's law for the DFT cell and can differ from measured ones.

Principal peaks in the range 2θ from 10° to 80°, in order of rising 2θ:
| Position (°2θ) | I_rel |
| --- | --- |
| 15.40 | 24 |
| 23.20 | 22 |
| 30.46 | 93 |
| 31.09 | 28 |
| 36.95 | 32 |
| 37.80 | 100 |
| 39.54 | 32 |
| 44.56 | 23 |

Crystal structure
```
data_SrNdPtAu
_chemical_formula_sum 'Sr2 Nd2 Pt2 Au2'
_space_group_name_H-M_alt 'P 1'
_space_group_IT_number 1
_cell_length_a 4.559
_cell_length_b 4.067
_cell_length_c 11.507
_cell_angle_alpha 90.00
_cell_angle_beta 90.00
_cell_angle_gamma 90.00
loop_
_space_group_symop_operation_xyz
'x,y,z'
loop_
_atom_site_label
_atom_site_type_symbol
_atom_site_fract_x
_atom_site_fract_y
_atom_site_fract_z
Sr1 Sr 0.000 0.000 0.000
Sr2 Sr 0.000 0.500 0.500
Nd1 Nd 0.500 0.000 0.276
Nd2 Nd 0.500 0.500 0.776
Pt1 Pt 0.000 0.000 0.731
Pt2 Pt 0.000 0.500 0.231
Au1 Au 0.500 0.000 0.563
Au2 Au 0.500 0.500 0.063
```

Entry 10:
For Li2MnAl, a cell relaxed with PBE gives the calculated X-ray powder pattern in this record (Cu Kα).
Peak positions follow from Bragg's law for the DFT cell and can differ from measured ones.

Principal peaks in the range 2θ from 10° to 80°, in order of rising 2θ:
| Position (°2θ) | I_rel |
| --- | --- |
| 17.38 | 100 |
| 24.91 | 29 |
| 34.45 | 26 |
| 38.59 | 27 |
| 39.36 | 52 |
| 40.17 | 25 |
| 42.67 | 19 |
| 47.28 | 30 |

Crystal structure
```
data_Li2MnAl
_chemical_formula_sum 'Li4 Mn2 Al2'
_space_group_name_H-M_alt 'P 1'
_space_group_IT_number 1
_cell_length_a 9.036
_cell_length_b 2.720
_cell_length_c 5.135
_cell_angle_alpha 90.00
_cell_angle_beta 96.42
_cell_angle_gamma 90.00
loop_
_space_group_symop_operation_xyz
'x,y,z'
loop_
_atom_site_label
_atom_site_type_symbol
_atom_site_fract_x
_atom_site_fract_y
_atom_site_fract_z
Li1 Li 0.000 0.000 0.000
Li2 Li 0.241 0.000 0.762
Li3 Li 0.500 0.500 0.000
Li4 Li 0.741 0.500 0.762
Mn1 Mn 0.486 0.000 0.479
Mn2 Mn 0.986 0.500 0.479
Al1 Al 0.247 0.500 0.276
Al2 Al 0.747 0.000 0.276
```

Entry 11:
For Cs2LiTlHg6, a cell relaxed with PBE gives the calculated X-ray powder pattern in this record (Cu Kα).
Peak positions follow from Bragg's law for the DFT cell and can differ from measured ones.

Principal peaks in the range 2θ from 10° to 80°, in order of rising 2θ:
| Position (°2θ) | I_rel |
| --- | --- |
| 15.51 | 15 |
| 27.09 | 100 |
| 31.23 | 31 |
| 31.46 | 60 |
| 44.92 | 43 |
| 45.08 | 22 |
| 53.10 | 14 |
| 55.87 | 22 |

Crystal structure
```
data_Cs2LiTlHg6
_chemical_formula_sum 'Cs2 Li1 Tl1 Hg6'
_space_group_name_H-M_alt 'P 1'
_space_group_IT_number 1
_cell_length_a 8.078
_cell_length_b 8.066
_cell_length_c 8.044
_cell_angle_alpha 60.19
_cell_angle_beta 60.04
_cell_angle_gamma 59.77
loop_
_space_group_symop_operation_xyz
'x,y,z'
loop_
_atom_site_label
_atom_site_type_symbol
_atom_site_fract_x
_atom_site_fract_y
_atom_site_fract_z
Cs1 Cs 0.250 0.250 0.250
Cs2 Cs 0.750 0.750 0.750
Li1 Li 0.000 0.000 0.000
Tl1 Tl 0.500 0.500 0.500
Hg1 Hg 0.232 0.232 0.768
Hg2 Hg 0.232 0.768 0.232
Hg3 Hg 0.232 0.768 0.768
Hg4 Hg 0.768 0.232 0.232
Hg5 Hg 0.768 0.232 0.768
Hg6 Hg 0.768 0.768 0.232
```

Entry 12:
For Li2Pm3Ni7, a cell relaxed with PBE gives the calculated X-ray powder pattern in this record (Cu Kα).
Peak positions follow from Bragg's law for the DFT cell and can differ from measured ones.

Principal peaks in the range 2θ from 10° to 80°, in order of rising 2θ:
| Position (°2θ) | I_rel |
| --- | --- |
| 10.84 | 44 |
| 20.39 | 29 |
| 32.62 | 91 |
| 35.12 | 49 |
| 35.65 | 79 |
| 40.94 | 78 |
| 41.70 | 100 |
| 61.43 | 30 |

Crystal structure
```
data_Li2Pm3Ni7
_chemical_formula_sum 'Li2 Pm3 Ni7'
_space_group_name_H-M_alt 'P 1'
_space_group_IT_number 1
_cell_length_a 8.682
_cell_length_b 8.682
_cell_length_c 8.682
_cell_angle_alpha 34.24
_cell_angle_beta 34.24
_cell_angle_gamma 34.24
loop_
_space_group_symop_operation_xyz
'x,y,z'
loop_
_atom_site_label
_atom_site_type_symbol
_atom_site_fract_x
_atom_site_fract_y
_atom_site_fract_z
Li1 Li 0.166 0.166 0.166
Li2 Li 0.834 0.834 0.834
Pm1 Pm 0.361 0.361 0.361
Pm2 Pm 0.500 0.500 0.500
Pm3 Pm 0.639 0.639 0.639
Ni1 Ni 0.000 0.000 0.000
Ni2 Ni 0.083 0.083 0.582
Ni3 Ni 0.083 0.582 0.083
Ni4 Ni 0.418 0.917 0.917
Ni5 Ni 0.582 0.083 0.083
Ni6 Ni 0.917 0.418 0.917
Ni7 Ni 0.917 0.917 0.418
```

Entry 13:
For TaP2Ir, a cell relaxed with PBE gives the calculated X-ray powder pattern in this record (Cu Kα).
Peak positions follow from Bragg's law for the DFT cell and can differ from measured ones.

Principal peaks in the range 2θ from 10° to 80°, in order of rising 2θ:
| Position (°2θ) | I_rel |
| --- | --- |
| 25.05 | 62 |
| 32.55 | 34 |
| 33.25 | 85 |
| 41.51 | 65 |
| 42.08 | 100 |
| 62.62 | 28 |
| 64.66 | 23 |
| 75.47 | 23 |

Crystal structure
```
data_TaP2Ir
_chemical_formula_sum 'Ta1 P2 Ir1'
_space_group_name_H-M_alt 'P 1'
_space_group_IT_number 1
_cell_length_a 3.090
_cell_length_b 3.555
_cell_length_c 5.502
_cell_angle_alpha 90.00
_cell_angle_beta 90.00
_cell_angle_gamma 90.00
loop_
_space_group_symop_operation_xyz
'x,y,z'
loop_
_atom_site_label
_atom_site_type_symbol
_atom_site_fract_x
_atom_site_fract_y
_atom_site_fract_z
Ta1 Ta 0.000 0.000 0.000
P1 P 0.500 0.500 0.223
P2 P 0.500 0.500 0.777
Ir1 Ir 0.500 0.000 0.500
```